Starting from a crystal structure in Alexandria, relaxed with GGA-PBE, the powder diffractogram of Sc4Sn5Hg4 was calculated for a wavelength of 1.5418 Å.

Structure:
a = 8.504 Å, b = 8.504 Å, c = 8.504 Å
α = 93.94°, β = 93.94°, γ = 149.61°
Fractional positions:
Sc: 0.131 0.782 0.913
Sc: 0.218 0.131 0.349
Sc: 0.782 0.869 0.651
Sc: 0.869 0.218 0.087
Sn: 0.000 0.000 0.000
Sn: 0.292 0.558 0.851
Sn: 0.442 0.292 0.734
Sn: 0.558 0.708 0.266
Sn: 0.708 0.442 0.149
Hg: 0.092 0.390 0.483
Hg: 0.390 0.908 0.298
Hg: 0.610 0.092 0.702
Hg: 0.908 0.610 0.517

Main lines, low angle first (10 to 90 degrees two-theta):
d_spacing, 2theta, I/Imax
8.206, 10.78, 17
3.382, 26.35, 15
2.610, 34.36, 100
2.276, 39.60, 31
2.229, 40.47, 16
1.609, 57.24, 7
1.593, 57.90, 21
1.370, 68.50, 15
1.349, 69.69, 13
1.305, 72.43, 8



Starting from a crystal structure in Alexandria, relaxed with GGA-PBE, the powder diffractogram of Cs2K6NaH was calculated for a wavelength of 1.5418 Å.

Structure:
a = 8.542 Å, b = 8.542 Å, c = 11.250 Å
α = 111.72°, β = 111.72°, γ = 91.36°
Fractional positions:
Cs: 0.249 0.751 0.000
Cs: 0.751 0.249 0.000
K: 0.263 0.263 0.563
K: 0.263 0.796 0.558
K: 0.368 0.368 0.232
K: 0.796 0.263 0.558
K: 0.803 0.803 0.567
K: 0.863 0.863 0.230
Na: 0.657 0.657 0.816
H: 0.005 0.005 0.509

Main lines, low angle first (10 to 90 degrees two-theta):
d_spacing, 2theta, I/Imax
5.146, 17.23, 30
5.060, 17.53, 30
4.771, 18.60, 19
3.897, 22.82, 100
3.761, 23.66, 30
3.726, 23.88, 27
3.056, 29.22, 19
2.984, 29.94, 17
2.363, 38.08, 16
2.338, 38.51, 16



Starting from a crystal structure in Alexandria, relaxed with GGA-PBE, the powder diffractogram of KPuAgI5 was calculated for a wavelength of 1.5418 Å.

Structure:
a = 8.490 Å, b = 8.490 Å, c = 11.538 Å
α = 103.55°, β = 103.55°, γ = 106.78°
Fractional positions:
K: 0.139 0.861 0.750
K: 0.861 0.139 0.250
Pu: 0.500 0.500 0.000
Pu: 0.500 0.500 0.500
Ag: 0.190 0.810 0.250
Ag: 0.810 0.190 0.750
I: 0.123 0.252 0.947
I: 0.169 0.573 0.388
I: 0.252 0.123 0.447
I: 0.412 0.588 0.750
I: 0.427 0.831 0.112
I: 0.573 0.169 0.888
I: 0.588 0.412 0.250
I: 0.748 0.877 0.553
I: 0.831 0.427 0.612
I: 0.877 0.748 0.053

Main lines, low angle first (10 to 90 degrees two-theta):
d_spacing, 2theta, I/Imax
7.689, 11.51, 100
5.231, 16.95, 81
4.186, 21.22, 65
4.061, 21.89, 54
3.701, 24.04, 34
3.608, 24.67, 93
3.027, 29.51, 39
2.563, 35.01, 47
2.456, 36.59, 66
2.240, 40.27, 55